Entry 1:
Simulated X-ray diffraction stick pattern
Compound: Li6Mn3NiP6O24
Radiation: λ = 1.5418 Å (Cu Kα)
Structure: a crystal structure in the Materials Project, relaxed with GGA+U

Cell and atoms:
Unit cell a=8.4981 b=8.5101 c=8.5786 alpha=61.60 beta=62.31 gamma=61.81
Space group P1 (No. 1)
One atom of each set of equivalent atoms:
Li  0.0000  0.0000  0.0000
Li  0.0854  0.5129  0.9273
Li  0.2744  0.8455  0.6419
Li  0.5313  0.6866  0.2954
Li  0.7383  0.3521  0.1471
Li  0.9060  0.1249  0.4876
Mn  0.1106  0.6999  0.4965
Mn  0.3922  0.9930  0.7852
Mn  0.6073  0.2089  0.0066
Ni  0.8965  0.4944  0.2946
P  0.0056  0.3006  0.6904
P  0.2028  0.0949  0.1813
P  0.3069  0.5966  0.0888
P  0.5008  0.3855  0.6072
P  0.7007  0.8964  0.4007
P  0.7870  0.8156  0.9026
O  0.0154  0.2606  0.2001
O  0.0640  0.4648  0.6509
O  0.1446  0.5441  0.1146
O  0.1700  0.1035  0.7086
O  0.1783  0.9339  0.3776
O  0.2195  0.0441  0.0205
O  0.2823  0.6516  0.2457
O  0.3085  0.7704  0.9012
O  0.3428  0.5844  0.5779
O  0.3743  0.1318  0.1480
O  0.4384  0.2256  0.6421
O  0.4995  0.4370  0.0673
O  0.5112  0.9152  0.5640
O  0.5513  0.3549  0.7694
O  0.6143  0.8630  0.8525
O  0.6623  0.3977  0.4192
O  0.6984  0.0847  0.2345
O  0.7186  0.7387  0.3484
O  0.7718  0.9753  0.9536
O  0.7937  0.6254  0.0665
O  0.8617  0.2743  0.8872
O  0.8649  0.8568  0.4602
O  0.9467  0.3189  0.5381
O  0.9786  0.7860  0.7485

The 10 most intense peaks (5 to 70 degrees two-theta), by intensity:
2theta  I (rel.)
20.9  100
24.1  93
24.1  86
29.3  57
20.7  52
20.3  51
35.3  48
33.3  48
23.8  46
24.2  41

Entry 2:
Simulated X-ray diffraction stick pattern
Compound: Li2MnNb3O8
Radiation: λ = 1.5418 Å (Cu Kα)
Structure: a crystal structure in the Materials Project, relaxed with GGA+U

Cell and atoms:
Unit cell a=6.1517 b=6.1517 c=15.3901 alpha=90.00 beta=90.00 gamma=120.00
Space group R3m (No. 160, hexagonal axes)
One atom of each set of equivalent atoms:
Li  0.0000  0.0000  0.0000
Li  0.0000  0.0000  0.3853
Mn  0.0000  0.0000  0.6292
Nb  0.1774  0.3548  0.8375
O  0.0000  0.0000  0.2571
O  0.0000  0.0000  0.7653
O  0.0202  0.5101  0.7601
O  0.1797  0.3594  0.5762

The 10 most intense peaks (5 to 70 degrees two-theta), by intensity:
2theta  I (rel.)
17.3  100
34.2  79
41.2  56
20.3  41
34.0  35
28.6  31
59.2  30
60.2  28
54.1  26
17.6  19

Entry 3:
Simulated X-ray diffraction stick pattern
Compound: Mn3O4
Radiation: λ = 1.5418 Å (Cu Kα)
Structure: a crystal structure in the Materials Project, relaxed with GGA+U

Cell and atoms:
Unit cell a=2.8844 b=11.4993 c=14.9509 alpha=90.00 beta=90.59 gamma=90.00
Space group P2_1 (No. 4)
One atom of each set of equivalent atoms:
Mn  0.0072  0.0000  0.9999
Mn  0.0326  0.2492  0.4976
Mn  0.0923  0.2706  0.6978
Mn  0.0988  0.4964  0.7952
Mn  0.4638  0.5106  0.2210
Mn  0.4772  0.2645  0.2750
O  0.0222  0.6563  0.7429
O  0.0255  0.8888  0.7475
O  0.0375  0.1202  0.7675
O  0.3988  0.8867  0.2562
O  0.4571  0.7379  0.4126
O  0.4744  0.7663  0.5841
O  0.4926  0.5144  0.9119
O  0.4951  0.4833  0.0823

The 10 most intense peaks (5 to 70 degrees two-theta), by intensity:
2theta  I (rel.)
16.5  100
11.8  32
23.8  29
31.1  21
33.8  20
39.5  7
46.3  6
39.6  6
46.1  5
32.6  5

Entry 4:
Simulated X-ray diffraction stick pattern
Compound: VOF
Radiation: λ = 1.5418 Å (Cu Kα)
Structure: a crystal structure in the Materials Project, relaxed with GGA+U

Cell and atoms:
Unit cell a=4.7298 b=4.7298 c=6.2289 alpha=90.00 beta=90.00 gamma=90.00
Space group P4_12_12 (No. 92)
One atom of each set of equivalent atoms:
V  0.0301  0.0301  0.0000
O  0.1812  0.8188  0.2500
F  0.2093  0.7907  0.7500

The 10 most intense peaks (5 to 70 degrees two-theta), by intensity:
2theta  I (rel.)
26.7  100
52.3  56
34.5  49
39.5  26
66.5  20
54.9  16
66.2  12
59.3  11
45.3  10
62.1  6

Entry 5:
Simulated X-ray diffraction stick pattern
Compound: LiTaWO6
Radiation: λ = 1.5418 Å (Cu Kα)
Structure: a crystal structure in the Materials Project, relaxed with GGA+U

Cell and atoms:
Unit cell a=7.4435 b=7.4435 c=10.4481 alpha=90.00 beta=90.00 gamma=90.00
Space group P4_122 (No. 91)
One atom of each set of equivalent atoms:
Li  0.0000  0.3629  0.0000
Ta  0.0000  0.2412  0.5000
W  0.2479  0.5000  0.2500
O  0.0598  0.0598  0.3750
O  0.0651  0.4465  0.3790
O  0.2431  0.2550  0.1905
O  0.4290  0.4290  0.3750

The 10 most intense peaks (5 to 70 degrees two-theta), by intensity:
2theta  I (rel.)
14.6  100
29.5  57
28.1  32
58.2  17
49.1  16
28.3  16
51.4  13
34.1  13
37.4  10
58.5  8

Entry 6:
Simulated X-ray diffraction stick pattern
Compound: Mn3VCu2P6O24
Radiation: λ = 1.5418 Å (Cu Kα)
Structure: a crystal structure in the Materials Project, relaxed with GGA+U

Cell and atoms:
Unit cell a=8.5832 b=8.5832 c=20.8669 alpha=90.00 beta=90.00 gamma=120.00
Space group R3 (No. 146, hexagonal axes)
One atom of each set of equivalent atoms:
Mn  0.0000  0.0000  0.0000
Mn  0.0000  0.0000  0.2148
Mn  0.0000  0.0000  0.7145
V  0.0000  0.0000  0.4999
Cu  0.0000  0.0000  0.3584
Cu  0.0000  0.0000  0.8566
P  0.9997  0.2927  0.6075
P  0.0420  0.6675  0.7743
O  0.0000  0.1983  0.6694
O  0.0039  0.8038  0.0455
O  0.0197  0.1822  0.2798
O  0.0198  0.8375  0.7802
O  0.1388  0.6691  0.8360
O  0.1451  0.4735  0.2133
O  0.1684  0.6826  0.1041
O  0.1720  0.4816  0.5994

The 10 most intense peaks (5 to 70 degrees two-theta), by intensity:
2theta  I (rel.)
24.4  100
20.7  93
33.2  74
36.3  41
47.6  36
49.9  29
56.8  27
25.4  22
63.3  21
56.9  17

Entry 7:
Simulated X-ray diffraction stick pattern
Compound: Cd2Mo3O8
Radiation: λ = 1.5418 Å (Cu Kα)
Structure: a crystal structure in the Materials Project, relaxed with GGA+U

Cell and atoms:
Unit cell a=6.4079 b=6.4079 c=10.3450 alpha=90.00 beta=90.00 gamma=120.00
Space group P6_3mc (No. 186)
One atom of each set of equivalent atoms:
Cd  0.3333  0.6667  0.0000
Cd  0.3333  0.6667  0.3917
Mo  0.1634  0.3267  0.6805
O  0.0000  0.0000  0.0775
O  0.0460  0.5230  0.5688
O  0.1595  0.3190  0.2714
O  0.3333  0.6667  0.7863

The 10 most intense peaks (5 to 70 degrees two-theta), by intensity:
2theta  I (rel.)
32.9  100
33.4  94
30.5  91
23.5  70
55.4  66
51.0  52
57.5  48
32.3  37
17.1  31
52.5  25